The following is a calculated X-ray diffraction stick pattern of LiVP2H2O8. It was derived from the PBE+U geometry in Alexandria, using Cu Kα (λ = 1.5418 Å).

Peak list (10 most intense, 2θ from 5° to 70°, sorted by position)
two_theta  I_rel  (hkl)
16.97  68  1 1 0
23.73  100  1 1 1
25.88  53  1 2 0
30.83  20  1 2 1
32.71  60  2 1 1
33.28  17  0 0 2
37.92  18  0 3 1
42.51  17  2 0 2
48.58  17  2 2 2
64.22  15  2 4 2

Atomic structure:
abc: 6.942 7.931 5.384
angles: 90.00 90.00 90.00
Space group P2_12_12 (No. 18)
Asymmetric unit:
Li 0.000 0.000 0.081
V 0.000 0.500 0.758
P 0.220 0.653 0.263
H 0.009 0.210 0.441
O 0.049 0.788 0.267
O 0.083 0.243 0.728
O 0.199 0.543 0.495
O 0.207 0.551 0.020